# Dy2Si5Rh3
Computed X-ray powder pattern, CuKα. Input: a crystal structure in the Materials Project, relaxed with PBE.
Peak positions follow from Bragg's law for the DFT cell and can differ from measured ones.

The 8 most intense peaks (10° ≤ 2θ ≤ 90°), by angle:
- d = 3.654 Å, rel. 43
- d = 2.952 Å, rel. 41
- d = 2.597 Å, rel. 91
- d = 2.530 Å, rel. 69
- d = 2.519 Å, rel. 100
- d = 2.509 Å, rel. 51
- d = 2.048 Å, rel. 100
- d = 1.608 Å, rel. 40

Atomic structure:
Cell lengths 8.1174, 8.1174, 5.6931 Å; angles 108.91, 108.91, 93.34 degrees
Sites, in units of the cell vectors:
1 Dy 0.0980 0.3669 0.2381
2 Dy 0.3669 0.0980 0.7381
3 Dy 0.6331 0.9020 0.2619
4 Dy 0.9020 0.6331 0.7619
5 Si 0.0117 0.9883 0.7500
6 Si 0.2338 0.4412 0.8378
7 Si 0.2771 0.7229 0.7500
8 Si 0.2903 0.7097 0.2500
9 Si 0.4412 0.2338 0.3378
10 Si 0.5588 0.7662 0.6622
11 Si 0.7097 0.2903 0.7500
12 Si 0.7229 0.2771 0.2500
13 Si 0.7662 0.5588 0.1622
14 Si 0.9883 0.0117 0.2500
15 Rh 0.0404 0.7603 0.3750
16 Rh 0.2397 0.9596 0.1250
17 Rh 0.4982 0.5018 0.2500
18 Rh 0.5018 0.4982 0.7500
19 Rh 0.7603 0.0404 0.8750
20 Rh 0.9596 0.2397 0.6250